Theoretical powder X-ray diffraction pattern
Compound: KSiN
Radiation: Cu Kα
Structure: a structure optimized by DFT (GGA-PBE)
Lines closer than 0.1° are merged.

Principal peaks in the range 5 to 70 degrees two-theta, most intense first:
- 2θ = 8.7°, I 100
- 2θ = 35.7°, I 30
- 2θ = 25.3°, I 27
- 2θ = 29.6°, I 27
- 2θ = 26.2°, I 15
- 2θ = 36.0°, I 13
- 2θ = 31.6°, I 10
- 2θ = 64.6°, I 7
- 2θ = 23.5°, I 7
- 2θ = 36.5°, I 6

Atomic structure:
a = 5.669 Å, b = 10.199 Å, c = 4.984 Å
α = 90.00°, β = 90.00°, γ = 90.00°
Fractional coordinates of all 12 atoms:
K (0.024, 0.211, 0.000)
K (0.476, 0.211, 0.500)
K (0.524, 0.789, 0.000)
K (0.976, 0.789, 0.500)
Si (0.098, 0.573, 0.010)
Si (0.402, 0.573, 0.510)
Si (0.598, 0.427, 0.010)
Si (0.902, 0.427, 0.510)
N (0.131, 0.522, 0.354)
N (0.369, 0.522, 0.854)
N (0.631, 0.478, 0.354)
N (0.869, 0.478, 0.854)

=====

Theoretical powder X-ray diffraction pattern
Compound: Ce6Sb
Radiation: Cu Kα
Structure: a structure optimized by DFT (GGA-PBE)
Lines closer than 0.1° are merged.

Principal peaks in the range 5 to 70 degrees two-theta, most intense first:
- 2θ = 28.8°, I 100
- 2θ = 44.7°, I 60
- 2θ = 23.5°, I 42
- 2θ = 41.2°, I 40
- 2θ = 48.0°, I 35
- 2θ = 16.5°, I 30
- 2θ = 67.7°, I 17
- 2θ = 54.1°, I 17
- 2θ = 57.0°, I 15
- 2θ = 37.5°, I 8

Atomic structure:
a = 6.567 Å, b = 6.567 Å, c = 6.567 Å
α = 109.47°, β = 109.47°, γ = 109.47°
Fractional coordinates of all 7 atoms:
Ce (0.250, 0.500, 0.750)
Ce (0.250, 0.750, 0.500)
Ce (0.500, 0.250, 0.750)
Ce (0.500, 0.750, 0.250)
Ce (0.750, 0.250, 0.500)
Ce (0.750, 0.500, 0.250)
Sb (0.000, 0.000, 0.000)

=====

Theoretical powder X-ray diffraction pattern
Compound: ZrTl2I5Cl
Radiation: Cu Kα
Structure: a structure optimized by DFT (GGA-PBE)
Lines closer than 0.1° are merged.

Principal peaks in the range 5 to 70 degrees two-theta, most intense first:
- 2θ = 26.3°, I 100
- 2θ = 30.6°, I 65
- 2θ = 21.4°, I 36
- 2θ = 51.8°, I 31
- 2θ = 15.1°, I 28
- 2θ = 43.8°, I 24
- 2θ = 34.1°, I 22
- 2θ = 37.5°, I 20
- 2θ = 46.4°, I 18
- 2θ = 37.6°, I 16

Atomic structure:
a = 8.298 Å, b = 8.298 Å, c = 8.298 Å
α = 120.20°, β = 120.20°, γ = 89.65°
Fractional coordinates of all 9 atoms:
Zr (0.000, 0.000, 0.000)
Tl (0.328, 0.828, 0.500)
Tl (0.828, 0.328, 0.500)
I (0.242, 0.242, 0.496)
I (0.242, 0.746, 0.000)
I (0.746, 0.242, 0.000)
I (0.746, 0.746, 0.504)
I (0.756, 0.756, 0.000)
Cl (0.206, 0.206, 0.000)

=====

Theoretical powder X-ray diffraction pattern
Compound: SrLi2MgBr6
Radiation: Cu Kα
Structure: a structure optimized by DFT (GGA-PBE)
Lines closer than 0.1° are merged.

Principal peaks in the range 5 to 70 degrees two-theta, most intense first:
- 2θ = 28.8°, I 100
- 2θ = 37.7°, I 34
- 2θ = 44.3°, I 26
- 2θ = 49.5°, I 20
- 2θ = 27.6°, I 16
- 2θ = 53.7°, I 13
- 2θ = 17.1°, I 12
- 2θ = 53.0°, I 11
- 2θ = 59.6°, I 7
- 2θ = 30.6°, I 7

Atomic structure:
a = 7.649 Å, b = 7.649 Å, c = 7.649 Å
α = 55.12°, β = 55.12°, γ = 55.12°
Fractional coordinates of all 10 atoms:
Sr (0.000, 0.000, 0.000)
Li (0.298, 0.298, 0.298)
Li (0.804, 0.804, 0.804)
Mg (0.492, 0.492, 0.492)
Br (0.088, 0.680, 0.441)
Br (0.228, 0.566, 0.893)
Br (0.441, 0.088, 0.680)
Br (0.566, 0.893, 0.228)
Br (0.680, 0.441, 0.088)
Br (0.893, 0.228, 0.566)

=====

Please write out number 4 again, unchanged.
Theoretical powder X-ray diffraction pattern
Compound: SrLi2MgBr6
Radiation: Cu Kα
Structure: a structure optimized by DFT (GGA-PBE)
Lines closer than 0.1° are merged.

Principal peaks in the range 5 to 70 degrees two-theta, most intense first:
- 2θ = 28.8°, I 100
- 2θ = 37.7°, I 34
- 2θ = 44.3°, I 26
- 2θ = 49.5°, I 20
- 2θ = 27.6°, I 16
- 2θ = 53.7°, I 13
- 2θ = 17.1°, I 12
- 2θ = 53.0°, I 11
- 2θ = 59.6°, I 7
- 2θ = 30.6°, I 7

Atomic structure:
a = 7.649 Å, b = 7.649 Å, c = 7.649 Å
α = 55.12°, β = 55.12°, γ = 55.12°
Fractional coordinates of all 10 atoms:
Sr (0.000, 0.000, 0.000)
Li (0.298, 0.298, 0.298)
Li (0.804, 0.804, 0.804)
Mg (0.492, 0.492, 0.492)
Br (0.088, 0.680, 0.441)
Br (0.228, 0.566, 0.893)
Br (0.441, 0.088, 0.680)
Br (0.566, 0.893, 0.228)
Br (0.680, 0.441, 0.088)
Br (0.893, 0.228, 0.566)